Calculated powder diffraction line list
Compound: Li4Ti11O24
Radiation: CuKα
Structure: the GGA-PBE geometry in the Materials Project
No peak broadening, texture or thermal motion is included.

Structural model:
```
data_Li4Ti11O24
_cell_length_a 19.6344
_cell_length_b 5.9895
_cell_length_c 8.5002
_cell_angle_alpha 90.00
_cell_angle_beta 115.24
_cell_angle_gamma 90.00
_symmetry_space_group_name_H-M 'C 1 2/m 1'
_symmetry_Int_Tables_number 12
_symmetry_space_group_name_Hall '-C 2y'
loop_
_atom_site_label
_atom_site_fract_x
_atom_site_fract_y
_atom_site_fract_z
Li1 0.0840 0.0000 0.4680
Li2 0.0891 0.5000 0.2109
Ti1 0.0000 0.5000 0.5000
Ti2 0.0778 0.2446 0.8389
Ti3 0.1585 0.0000 0.1573
Ti4 0.1706 0.5000 0.6857
Ti5 0.2500 0.2500 0.5000
O1 0.0071 0.5000 0.7441
O2 0.0106 0.0000 0.7484
O3 0.0837 0.2821 0.5953
O4 0.0909 0.2443 0.0717
O5 0.1538 0.0000 0.9233
O6 0.1558 0.5000 0.8864
O7 0.1728 0.0000 0.4128
O8 0.1780 0.5000 0.4358
O9 0.2502 0.2157 0.2710
```

The 10 most intense peaks (2θ = 5–70°), by angle:
- (2 0 1), 18.15 deg, I 100
- (4 0 -1), 18.32 deg, I 70
- (0 0 3), 35.02 deg, I 17
- (2 2 1), 35.20 deg, I 30
- (5 1 1), 35.37 deg, I 9
- (4 0 -4), 42.54 deg, I 32
- (6 2 0), 42.96 deg, I 63
- (5 3 1), 56.65 deg, I 8
- (0 4 0), 61.91 deg, I 28
- (10 2 -4), 62.23 deg, I 16


Calculated powder diffraction line list
Compound: Li2TiO3
Radiation: CuKα
Structure: the GGA-PBE geometry in the Materials Project
No peak broadening, texture or thermal motion is included.

Structural model:
```
data_Li2TiO3
_cell_length_a 8.4191
_cell_length_b 8.3143
_cell_length_c 13.2288
_cell_angle_alpha 90.00
_cell_angle_beta 108.37
_cell_angle_gamma 90.00
_symmetry_space_group_name_H-M 'C 1 2/c 1'
_symmetry_Int_Tables_number 15
_symmetry_space_group_name_Hall '-C 2yc'
loop_
_atom_site_label
_atom_site_fract_x
_atom_site_fract_y
_atom_site_fract_z
Li1 0.0000 0.0000 0.0000
Li2 0.0833 0.2479 0.1687
Li3 0.1641 0.0006 0.8327
Li4 0.1674 0.4979 0.8305
Li5 0.2500 0.2500 0.0000
Ti1 0.0000 0.5000 0.0000
Ti2 0.0926 0.2361 0.6747
Ti3 0.2500 0.2500 0.5000
O1 0.0107 0.2563 0.5026
O2 0.0759 0.4908 0.6535
O3 0.0815 0.0174 0.6642
O4 0.1513 0.2515 0.8249
O5 0.1831 0.2486 0.3415
O6 0.2372 0.4851 0.4994
```

The 10 most intense peaks (2θ = 5–70°), by angle:
- (1 1 0), 15.38 deg, I 10
- (1 1 1), 18.35 deg, I 100
- (0 2 0), 21.37 deg, I 10
- (3 1 -3), 35.45 deg, I 12
- (1 1 -5), 35.60 deg, I 11
- (4 0 -2), 42.97 deg, I 34
- (0 0 6), 43.24 deg, I 33
- (0 4 0), 43.54 deg, I 32
- (4 4 -2), 62.83 deg, I 17
- (0 4 6), 63.04 deg, I 16


Calculated powder diffraction line list
Compound: LiTi3O4
Radiation: CuKα
Structure: the GGA-PBE geometry in the Materials Project
No peak broadening, texture or thermal motion is included.

Structural model:
```
data_LiTi3O4
_cell_length_a 5.5070
_cell_length_b 3.0791
_cell_length_c 5.5235
_cell_angle_alpha 90.00
_cell_angle_beta 108.72
_cell_angle_gamma 90.00
_symmetry_space_group_name_H-M 'P 1 m 1'
_symmetry_Int_Tables_number 6
_symmetry_space_group_name_Hall 'P -2y'
loop_
_atom_site_label
_atom_site_fract_x
_atom_site_fract_y
_atom_site_fract_z
Li1 0.0000 0.0000 0.0000
Ti1 0.4274 0.0000 0.1674
Ti2 0.8218 0.5000 0.1819
Ti3 0.8366 0.0000 0.5736
O1 0.0677 0.0000 0.3529
O2 0.0985 0.5000 0.9061
O3 0.5869 0.5000 0.4160
O4 0.6482 0.0000 0.9372
```

The 10 most intense peaks (2θ = 5–70°), by angle:
- (0 0 1), 16.97 deg, I 100
- (1 0 -1), 19.81 deg, I 26
- (1 1 -1), 35.37 deg, I 14
- (2 0 -2), 40.24 deg, I 27
- (1 1 1), 40.58 deg, I 65
- (1 1 -2), 44.54 deg, I 17
- (2 1 -2), 50.36 deg, I 12
- (1 1 2), 53.03 deg, I 16
- (1 1 -3), 58.40 deg, I 13
- (3 1 -1), 58.54 deg, I 14